[1]
Structure and computed powder diffraction line list of CoSn4Sb2 (DFT lattice parameters and positions (PBE); Cu Kα).

Atomic structure:
```
CoSn4Sb2
1.0
-2.4152 2.4152 8.1158
2.4152 -2.4152 8.1158
2.4152 2.4152 -8.1158
Co Sn Sb
1 4 2
direct
0.0000 0.0000 0.0000
0.0000 0.5000 0.5000
0.1600 0.1600 0.0000
0.5000 0.0000 0.5000
0.8400 0.8400 0.0000
0.3426 0.3426 0.0000
0.6574 0.6574 0.0000
```

Most intense lines, 10° ≤ 2θ ≤ 90°, low angle first:
d (Å), 2theta, I/Imax
3.416, 26.1, 38
3.148, 28.3, 93
2.705, 33.1, 64
2.613, 34.3, 100
2.415, 37.2, 99
1.802, 50.7, 80
1.708, 53.7, 35
1.466, 63.5, 25
1.444, 64.5, 38
1.430, 65.3, 33

[2]
Structure and computed powder diffraction line list of Sc6GePd5 (DFT lattice parameters and positions (PBE); Cu Kα).

Atomic structure:
```
Sc6GePd5
1.0
-2.3461 3.3208 7.0448
2.3461 -3.3208 7.0448
2.3461 3.3208 -7.0448
Sc Ge Pd
6 1 5
direct
0.0814 0.3324 0.7491
0.2468 0.0000 0.2468
0.4167 0.6676 0.7491
0.5833 0.3324 0.2509
0.7532 0.0000 0.7532
0.9186 0.6676 0.2509
0.5000 0.5000 0.0000
0.0000 0.5000 0.5000
0.1669 0.1669 0.0000
0.3346 0.8346 0.5000
0.6654 0.1654 0.5000
0.8331 0.8331 0.0000
```

Most intense lines, 10° ≤ 2θ ≤ 90°, low angle first:
d (Å), 2theta, I/Imax
6.008, 14.7, 1
3.320, 26.9, 20
2.348, 38.3, 100
1.917, 47.4, 6
1.660, 55.3, 16
1.485, 62.6, 8
1.355, 69.3, 32
1.174, 82.1, 10
1.107, 88.3, 4

[3]
Structure and computed powder diffraction line list of La3Dy2Y8 (DFT lattice parameters and positions (PBE); Cu Kα).

Atomic structure:
```
La3Dy2Y8
1.0
6.2440 0.0000 0.0000
1.1126 8.0697 0.0000
0.0645 4.0286 8.5586
La Dy Y
3 2 8
direct
0.0000 0.0000 0.0000
0.3065 0.1547 0.2332
0.6935 0.8453 0.7668
0.0776 0.5399 0.3093
0.9224 0.4601 0.6907
0.1513 0.0812 0.6141
0.2295 0.6124 0.9234
0.3828 0.6905 0.5378
0.4611 0.2359 0.8431
0.5389 0.7641 0.1569
0.6172 0.3095 0.4622
0.7705 0.3876 0.0766
0.8487 0.9188 0.3859
```

Most intense lines, 10° ≤ 2θ ≤ 90°, low angle first:
d (Å), 2theta, I/Imax
2.954, 30.3, 100
2.935, 30.5, 99
2.579, 34.8, 34
2.536, 35.4, 65
1.810, 50.4, 12
1.808, 50.5, 35
1.550, 59.7, 21
1.536, 60.2, 14
1.534, 60.3, 14
1.528, 60.6, 27

[4]
Structure and computed powder diffraction line list of SrLiSi2Ir (DFT lattice parameters and positions (PBE); Cu Kα).

Atomic structure:
```
SrLiSi2Ir
1.0
-2.1159 2.1159 5.1059
2.1159 -2.1159 5.1059
2.1159 2.1159 -5.1059
Sr Li Si Ir
1 1 2 1
direct
0.0000 0.0000 0.0000
0.2500 0.7500 0.5000
0.3722 0.3722 0.0000
0.6278 0.6278 0.0000
0.7500 0.2500 0.5000
```

Most intense lines, 10° ≤ 2θ ≤ 90°, low angle first:
d (Å), 2theta, I/Imax
5.106, 17.4, 15
3.909, 22.7, 100
2.652, 33.8, 53
2.582, 34.7, 75
2.116, 42.7, 31
1.861, 48.9, 27
1.839, 49.6, 17
1.654, 55.6, 25
1.479, 62.8, 14
1.294, 73.1, 18

[5]
Structure and computed powder diffraction line list of Ac2ScTe2Se2 (DFT lattice parameters and positions (PBE); Cu Kα).

Atomic structure:
```
Ac2ScTe2Se2
1.0
-2.5434 2.5434 8.4516
2.5434 -2.5434 8.4516
2.5434 2.5434 -8.4516
Ac Sc Te Se
2 1 2 2
direct
0.1271 0.1271 0.0000
0.8729 0.8729 0.0000
0.5000 0.5000 0.0000
0.3231 0.3231 0.0000
0.6769 0.6769 0.0000
0.0000 0.5000 0.5000
0.5000 0.0000 0.5000
```

Most intense lines, 10° ≤ 2θ ≤ 90°, low angle first:
d (Å), 2theta, I/Imax
4.871, 18.2, 23
3.597, 24.8, 87
3.310, 26.9, 33
2.816, 31.8, 92
2.739, 32.7, 100
2.543, 35.3, 85
2.180, 41.4, 23
1.887, 48.2, 67
1.798, 50.8, 30
1.503, 61.7, 33

[6]
Structure and computed powder diffraction line list of KZrSnBiO6 (DFT lattice parameters and positions (PBE); Cu Kα).

Atomic structure:
```
KZrSnBiO6
1.0
0.0000 4.1375 4.1375
4.1375 0.0000 4.1375
4.1375 4.1375 0.0000
K Zr Sn Bi O
1 1 1 1 6
direct
0.0000 0.0000 0.0000
0.2500 0.2500 0.2500
0.7500 0.7500 0.7500
0.5000 0.5000 0.5000
0.5021 0.5021 0.9979
0.5021 0.9979 0.5021
0.5021 0.9979 0.9979
0.9979 0.5021 0.5021
0.9979 0.5021 0.9979
0.9979 0.9979 0.5021
```

Most intense lines, 10° ≤ 2θ ≤ 90°, low angle first:
d (Å), 2theta, I/Imax
4.778, 18.6, 32
2.926, 30.6, 100
2.495, 36.0, 20
2.069, 43.8, 32
1.898, 47.9, 9
1.689, 54.3, 41
1.463, 63.6, 20
1.399, 66.9, 8
1.308, 72.2, 18
1.106, 88.4, 23